# Tm2B6Os
Calculated PXRD pattern, Cu Kα (λ = 1.5418 Å). Input: a structure optimized by DFT (GGA-PBE).
Peak positions follow from Bragg's law for the DFT cell and can differ from measured ones.

Peak list (12 most intense, 5° ≤ 2θ ≤ 70°, in order of rising 2θ)
| index | 2θ (°) | d_spacing | intensity |
| --- | --- | --- | --- |
| 0 0 1 | 24.6 | 3.624 | 100 |
| 3 1 0 | 30.6 | 2.925 | 64 |
| 0 4 0 | 31.2 | 2.865 | 21 |
| 1 4 0 | 32.8 | 2.732 | 29 |
| 3 2 0 | 33.5 | 2.677 | 25 |
| 3 1 1 | 39.6 | 2.276 | 77 |
| 0 4 1 | 40.1 | 2.247 | 26 |
| 1 4 1 | 41.4 | 2.181 | 36 |
| 3 2 1 | 42.0 | 2.153 | 31 |
| 3 3 1 | 45.7 | 1.985 | 20 |
| 0 0 2 | 50.4 | 1.812 | 21 |
| 2 7 0 | 60.1 | 1.540 | 29 |

Structural model:
```
data_Tm2B6Os
_chemical_formula_sum 'Tm8 B24 Os4'
_cell_length_a 9.081
_cell_length_b 11.459
_cell_length_c 3.624
_cell_angle_alpha 90.00
_cell_angle_beta 90.00
_cell_angle_gamma 90.00
_symmetry_space_group_name_H-M 'P b a m'
_symmetry_Int_Tables_number 55
loop_
_symmetry_equiv_pos_as_xyz
'x,y,z'
'-x,-y,-z'
'-x,-y,z'
'x,y,-z'
'x+1/2,-y+1/2,-z'
'-x+1/2,y+1/2,z'
'-x+1/2,y+1/2,-z'
'x+1/2,-y+1/2,z'
loop_
_atom_site_label
_atom_site_fract_x
_atom_site_fract_y
_atom_site_fract_z
_atom_site_occupancy
Tm1 0.055 0.126 0.000 1
Tm2 0.179 0.414 0.000 1
B1 0.017 0.287 0.500 1
B2 0.054 0.566 0.500 1
B3 0.109 0.970 0.500 1
B4 0.132 0.815 0.500 1
B5 0.208 0.233 0.500 1
B6 0.249 0.579 0.500 1
Os1 0.138 0.679 0.000 1
```